1.
Structure and computed powder diffractogram of PmTe2S6 (a cell relaxed with GGA-PBE; Cu Kα X-rays).
Peak positions follow from Bragg's law for the DFT cell and can differ from measured ones.

Cell and atoms:
Unit cell a=14.4727 b=10.8406 c=7.3920 alpha=90.00 beta=109.10 gamma=90.00
Space group C2/c (No. 15)
Unique sites:
Pm (0.0000, 0.1888, 0.2500) x4
Te (0.2336, 0.4104, 0.3749) x8
S (0.0559, 0.0427, 0.9713) x8
S (0.0999, 0.3685, 0.1006) x8
S (0.1563, 0.2526, 0.6137) x8

Top 10 peaks for 2θ from 10° to 80°, low angle first:
d_spacing  I/Imax  hkl
6.030  100.0  1 1 -1
4.202  20.0  3 1 0
4.009  34.7  2 2 -1
3.419  16.5  4 0 0
3.340  23.2  2 2 1
3.201  54.8  3 1 -2
2.832  49.1  3 3 -1
2.527  15.6  0 4 1
2.140  17.6  0 2 3
2.123  15.2  4 2 -3

=====

2.
Structure and computed powder diffractogram of K3SmSb2O6 (a cell relaxed with GGA-PBE; Cu Kα X-rays).
Peak positions follow from Bragg's law for the DFT cell and can differ from measured ones.

Cell and atoms:
Unit cell a=6.2035 b=6.2035 c=7.2396 alpha=90.00 beta=90.00 gamma=120.00
Space group P-3m1 (No. 164)
Unique sites:
K (0.0000, 0.0000, 0.0000) x1
K (0.3333, 0.6667, 0.6456) x2
Sm (0.0000, 0.0000, 0.5000) x1
Sb (0.3333, 0.6667, 0.1760) x2
O (0.1737, 0.3475, 0.3070) x6

Top 10 peaks for 2θ from 10° to 80°, low angle first:
d_spacing  I/Imax  hkl
4.314  90.2  1 0 1
3.102  100.0  1 1 0
3.002  92.1  0 1 2
2.157  54.8  2 0 2
1.955  21.2  2 1 1
1.905  19.6  1 1 3
1.791  19.7  3 0 0
1.771  37.4  1 2 2
1.551  18.3  2 2 0
1.378  16.6  3 1 2

=====

3.
Structure and computed powder diffractogram of ZrAgAs2 (a cell relaxed with GGA-PBE; Cu Kα X-rays).
Peak positions follow from Bragg's law for the DFT cell and can differ from measured ones.

Cell and atoms:
Unit cell a=3.7946 b=3.7946 c=5.5523 alpha=90.00 beta=90.00 gamma=90.00
Space group P4mm (No. 99)
Unique sites:
Zr (0.0000, 0.0000, 0.0000) x1
Ag (0.5000, 0.5000, 0.3509) x1
As (0.0000, 0.0000, 0.4759) x1
As (0.5000, 0.5000, 0.8636) x1

Top 10 peaks for 2θ from 10° to 80°, low angle first:
d_spacing  I/Imax  hkl
2.776  24.5  0 0 2
2.683  100.0  1 1 0
2.241  64.4  1 0 2
1.929  33.2  1 1 2
1.897  35.3  2 0 0
1.566  16.6  2 0 2
1.448  30.8  2 1 2
1.342  10.9  2 2 0
1.304  18.8  1 0 4
1.200  15.2  3 1 0

=====

4.
Structure and computed powder diffractogram of Ba2Tl4In3Ag (a cell relaxed with GGA-PBE; Cu Kα X-rays).
Peak positions follow from Bragg's law for the DFT cell and can differ from measured ones.

Cell and atoms:
Unit cell a=5.0828 b=5.0828 c=12.3461 alpha=90.00 beta=90.00 gamma=90.00
Space group P-4m2 (No. 115)
Unique sites:
Ba (0.0000, 0.5000, 0.2455) x2
Tl (0.0000, 0.0000, 0.5000) x1
Tl (0.0000, 0.5000, 0.8745) x2
Tl (0.5000, 0.5000, 0.5000) x1
In (0.0000, 0.0000, 0.0000) x1
In (0.0000, 0.5000, 0.6380) x2
Ag (0.5000, 0.5000, 0.0000) x1

Top 10 peaks for 2θ from 10° to 80°, low angle first:
d_spacing  I/Imax  hkl
3.198  54.4  1 0 3
3.106  100.0  1 1 2
2.541  77.7  2 0 0
2.342  51.8  1 1 4
2.221  26.5  1 0 5
1.990  28.6  2 1 3
1.797  27.6  2 2 0
1.672  21.9  2 1 5
1.555  25.6  3 1 2
1.426  21.6  3 1 4

=====

5.
Structure and computed powder diffractogram of TmZr2UP4 (a cell relaxed with GGA-PBE; Cu Kα X-rays).
Peak positions follow from Bragg's law for the DFT cell and can differ from measured ones.

Cell and atoms:
Unit cell a=6.6305 b=3.8219 c=6.6363 alpha=90.00 beta=109.20 gamma=90.00
Space group P2/m (No. 10)
Unique sites:
Tm (0.0000, 0.0000, 0.0000) x1
Zr (0.0000, 0.5000, 0.5000) x1
Zr (0.5000, 0.0000, 0.5000) x1
U (0.5000, 0.5000, 0.0000) x1
P (0.2478, 0.0000, 0.7413) x2
P (0.2549, 0.5000, 0.2581) x2

Top 10 peaks for 2θ from 10° to 80°, low angle first:
d_spacing  I/Imax  hkl
6.267  20.3  0 0 1
3.262  15.2  1 1 0
3.132  41.0  0 0 2
3.121  40.5  1 1 -1
2.708  100.0  1 1 1
1.913  59.6  0 2 0
1.636  13.0  1 1 3
1.631  25.6  2 0 -4
1.566  12.4  4 0 0
1.209  16.2  1 3 1

=====

6.
Structure and computed powder diffractogram of LiEr2NpN4 (a cell relaxed with GGA-PBE; Cu Kα X-rays).
Peak positions follow from Bragg's law for the DFT cell and can differ from measured ones.

Cell and atoms:
Unit cell a=4.6666 b=4.6666 c=9.9437 alpha=90.00 beta=90.00 gamma=90.00
Space group I4/mmm (No. 139)
Unique sites:
Li (0.0000, 0.0000, 0.0000) x2
Er (0.0000, 0.5000, 0.2500) x4
Np (0.0000, 0.0000, 0.5000) x2
N (0.0000, 0.0000, 0.2851) x4
N (0.0000, 0.5000, 0.0000) x4

Top 10 peaks for 2θ from 10° to 80°, low angle first:
d_spacing  I/Imax  hkl
4.225  59.8  1 0 1
2.749  100.0  1 1 2
2.702  15.8  1 0 3
2.486  26.9  0 0 4
2.333  46.2  2 0 0
2.042  17.7  2 1 1
1.701  33.8  2 0 4
1.481  17.4  1 1 6
1.415  28.5  3 1 2
1.375  16.5  2 2 4

=====

7.
Structure and computed powder diffractogram of Ga8Ag3 (a cell relaxed with GGA-PBE; Cu Kα X-rays).
Peak positions follow from Bragg's law for the DFT cell and can differ from measured ones.

Cell and atoms:
Unit cell a=8.5652 b=8.5652 c=10.4901 alpha=90.00 beta=90.00 gamma=120.00
Space group R-3m (No. 166, hexagonal axes)
Unique sites:
Ga (0.0000, 0.0000, 0.2255) x6
Ga (0.0311, 0.5155, 0.7420) x18
Ag (0.0000, 0.5000, 0.0000) x9

Top 10 peaks for 2θ from 10° to 80°, low angle first:
d_spacing  I/Imax  hkl
4.283  8.4  1 1 0
3.497  39.4  0 2 1
3.028  8.8  2 0 2
2.709  19.9  1 1 3
2.141  100.0  2 2 0
1.826  17.1  4 0 1
1.514  14.1  4 0 4
1.469  9.0  1 0 7
1.389  7.5  0 4 5
1.236  25.3  6 0 0

=====

8.
Structure and computed powder diffractogram of Ca2Hg2Bi3 (a cell relaxed with GGA-PBE; Cu Kα X-rays).
Peak positions follow from Bragg's law for the DFT cell and can differ from measured ones.

Cell and atoms:
Unit cell a=9.6545 b=9.6545 c=9.6545 alpha=90.00 beta=90.00 gamma=90.00
Space group I2_13 (No. 199)
Unique sites:
Ca (0.0101, 0.0101, 0.0101) x8
Hg (0.1714, 0.3286, 0.6714) x8
Bi (0.0000, 0.2500, 0.2596) x12

Top 10 peaks for 2θ from 10° to 80°, low angle first:
d_spacing  I/Imax  hkl
4.827  43.9  2 0 0
3.941  27.3  2 1 1
3.053  100.0  3 0 1
2.787  61.9  2 2 2
2.580  92.8  3 1 2
2.276  27.0  4 1 1
1.893  34.5  4 3 1
1.707  27.4  4 4 0
1.566  20.6  6 1 1
1.455  37.4  6 2 2

=====

9.
Structure and computed powder diffractogram of Tl2RhF5 (a cell relaxed with GGA-PBE; Cu Kα X-rays).
Peak positions follow from Bragg's law for the DFT cell and can differ from measured ones.

Cell and atoms:
Unit cell a=6.4750 b=6.4750 c=7.7584 alpha=90.00 beta=90.00 gamma=90.00
Space group I4mm (No. 107)
Unique sites:
Tl (0.0000, 0.5000, 0.0000) x4
Rh (0.0000, 0.0000, 0.2704) x2
F (0.0000, 0.0000, 0.0237) x2
F (0.2188, 0.2188, 0.2772) x8

Top 10 peaks for 2θ from 10° to 80°, low angle first:
d_spacing  I/Imax  hkl
4.971  24.6  1 0 1
4.579  43.6  1 1 0
3.238  54.0  2 0 0
2.960  100.0  1 1 2
2.486  39.1  2 0 2
2.289  36.5  2 2 0
1.811  47.3  3 1 2
1.664  16.6  2 0 4
1.480  16.6  2 2 4
1.207  13.7  5 1 2

=====

10.
Structure and computed powder diffractogram of Pm2TcCl (a cell relaxed with GGA-PBE; Cu Kα X-rays).
Peak positions follow from Bragg's law for the DFT cell and can differ from measured ones.

Cell and atoms:
Unit cell a=3.4709 b=3.4709 c=7.9639 alpha=90.00 beta=90.00 gamma=90.00
Space group P4/mmm (No. 123)
Unique sites:
Pm (0.0000, 0.0000, 0.2142) x2
Tc (0.5000, 0.5000, 0.0000) x1
Cl (0.5000, 0.5000, 0.5000) x1

Top 10 peaks for 2θ from 10° to 80°, low angle first:
d_spacing  I/Imax  hkl
7.964  36.7  0 0 1
3.471  15.7  1 0 0
2.616  100.0  1 0 2
2.454  47.9  1 1 0
2.109  20.8  1 0 3
1.735  16.5  2 0 0
1.546  12.3  1 1 4
1.446  35.0  2 1 2
1.340  9.6  2 1 3
1.336  8.4  1 1 5

=====

11.
Structure and computed powder diffractogram of ZnGa2CoSn (a cell relaxed with GGA-PBE; Cu Kα X-rays).
Peak positions follow from Bragg's law for the DFT cell and can differ from measured ones.

Cell and atoms:
Unit cell a=4.5769 b=4.5769 c=4.9212 alpha=90.00 beta=90.00 gamma=90.00
Space group P4/mmm (No. 123)
Unique sites:
Zn (0.0000, 0.0000, 0.0000) x1
Ga (0.0000, 0.5000, 0.5000) x2
Co (0.5000, 0.5000, 0.5000) x1
Sn (0.5000, 0.5000, 0.0000) x1

Top 10 peaks for 2θ from 10° to 80°, low angle first:
d_spacing  I/Imax  hkl
4.577  30.7  1 0 0
3.236  12.2  1 1 0
2.704  100.0  1 1 1
2.461  40.3  0 0 2
2.288  65.3  2 0 0
1.676  48.9  2 0 2
1.618  21.7  2 2 0
1.463  15.3  1 1 3
1.389  25.7  3 1 1
1.352  23.5  2 2 2

=====

12.
Structure and computed powder diffractogram of NbTl2AsO6 (a cell relaxed with GGA-PBE; Cu Kα X-rays).
Peak positions follow from Bragg's law for the DFT cell and can differ from measured ones.

Cell and atoms:
Unit cell a=7.9953 b=7.9953 c=7.9953 alpha=90.00 beta=90.00 gamma=90.00
Space group Fm-3m (No. 225)
Unique sites:
Nb (0.0000, 0.0000, 0.0000) x4
Tl (0.2500, 0.2500, 0.2500) x8
As (0.0000, 0.0000, 0.5000) x4
O (0.0000, 0.0000, 0.2575) x24

Top 10 peaks for 2θ from 10° to 80°, low angle first:
d_spacing  I/Imax  hkl
3.998  14.0  2 0 0
2.827  100.0  2 2 0
2.308  13.7  2 2 2
1.999  28.2  4 0 0
1.788  7.5  4 2 0
1.632  40.2  4 2 2
1.413  17.5  4 4 0
1.333  3.9  4 4 2
1.264  17.6  6 2 0
1.205  4.6  6 2 2

=====

13.
Structure and computed powder diffractogram of CuCl2O2 (a cell relaxed with GGA-PBE; Cu Kα X-rays).
Peak positions follow from Bragg's law for the DFT cell and can differ from measured ones.

Cell and atoms:
Unit cell a=7.3308 b=3.3217 c=9.6292 alpha=90.00 beta=96.61 gamma=90.00
Space group C2/m (No. 12)
Unique sites:
Cu (0.0000, 0.0000, 0.0000) x2
Cl (0.1254, 0.5000, 0.1427) x4
O (0.0543, 0.0000, 0.5540) x4

Top 10 peaks for 2θ from 10° to 80°, low angle first:
d_spacing  I/Imax  hkl
4.783  63.4  0 0 2
3.641  47.0  2 0 0
3.541  41.4  2 0 -1
3.072  100.0  2 0 -2
2.612  16.4  1 1 -2
2.501  78.7  1 1 2
2.143  37.4  1 1 3
1.960  33.4  3 1 0
1.920  35.9  1 1 -4
1.886  25.7  3 1 1

=====

14.
Structure and computed powder diffractogram of Ac2DyY (a cell relaxed with GGA-PBE; Cu Kα X-rays).
Peak positions follow from Bragg's law for the DFT cell and can differ from measured ones.

Cell and atoms:
Unit cell a=5.4776 b=5.4776 c=5.0442 alpha=90.00 beta=90.00 gamma=90.00
Space group P4/mmm (No. 123)
Unique sites:
Ac (0.0000, 0.5000, 0.0000) x2
Dy (0.0000, 0.0000, 0.5000) x1
Y (0.5000, 0.5000, 0.5000) x1

Top 10 peaks for 2θ from 10° to 80°, low angle first:
d_spacing  I/Imax  hkl
3.072  100.0  1 1 1
2.739  36.9  2 0 0
2.522  14.7  0 0 2
1.937  13.7  2 2 0
1.855  24.0  2 0 2
1.638  32.3  3 1 1
1.542  13.2  1 1 3
1.536  13.1  2 2 2
1.251  6.7  3 3 1
1.206  11.9  3 1 3